Simulated powder XRD pattern
Compound: V2CrO7
Radiation: CuKα
Structure: the GGA+U geometry in the Materials Project

Largest 8 diffraction maxima, in order of rising 2θ, 2θ from 15° to 90°:
hkl 2 0 0, 2θ 20.6, intensity 67.3
hkl 2 1 0, 2θ 23.0, intensity 100.0
hkl 2 1 1, 2θ 25.3, intensity 81.4
hkl 2 2 0, 2θ 29.3, intensity 18.1
hkl 3 1 1, 2θ 34.4, intensity 20.2
hkl 4 2 1, 2θ 48.3, intensity 19.4
hkl 5 1 1, 2θ 55.3, intensity 18.7
hkl 4 4 0, 2θ 60.7, intensity 18.1

Structure:
Cell: 8.6358 8.6358 8.6358 Å, 90.00 90.00 90.00°
Space group Pa-3 (No. 205)
Unique sites:
V  0.1192  0.1192  0.1192
Cr  0.0000  0.0000  0.5000
O  0.0000  0.0000  0.0000
O  0.0624  0.1919  0.5925


Simulated powder XRD pattern
Compound: Li9Mn2Co5O16
Radiation: CuKα
Structure: the GGA+U geometry in the Materials Project

Largest 8 diffraction maxima, in order of rising 2θ, 2θ from 15° to 90°:
hkl 2 0 -1, 2θ 18.3, intensity 100.0
hkl 6 0 1, 2θ 35.1, intensity 14.8
hkl 4 2 0, 2θ 36.2, intensity 24.8
hkl 4 0 2, 2θ 42.4, intensity 28.8
hkl 6 2 -1, 2θ 44.0, intensity 52.7
hkl 8 2 -2, 2θ 57.9, intensity 9.4
hkl 2 2 -3, 2θ 62.6, intensity 15.0
hkl 10 2 1, 2θ 62.8, intensity 14.6

Structure:
Cell: 19.5266 5.7836 5.1846 Å, 90.00 98.78 90.00°
Space group C2/m (No. 12)
Unique sites:
Li  0.0000  0.0000  0.0000
Li  0.0000  0.2464  0.5000
Li  0.1207  0.0000  0.7510
Li  0.1229  0.5000  0.7501
Li  0.2500  0.2500  0.0000
Mn  0.2492  0.0000  0.4960
Co  0.0000  0.5000  0.0000
Co  0.1203  0.2464  0.2348
O  0.0575  0.5000  0.3379
O  0.0597  0.2691  0.8952
O  0.0702  0.0000  0.3776
O  0.1833  0.5000  0.1509
O  0.1867  0.0000  0.1357
O  0.1935  0.2516  0.6146


Simulated powder XRD pattern
Compound: Li2MnVP3O12
Radiation: CuKα
Structure: the GGA+U geometry in the Materials Project

Largest 8 diffraction maxima, in order of rising 2θ, 2θ from 15° to 90°:
hkl 1 0 1, 2θ 19.5, intensity 53.9
hkl -1 1 1, 2θ 20.0, intensity 100.0
hkl 1 1 0, 2θ 23.5, intensity 57.0
hkl 1 1 -2, 2θ 24.2, intensity 84.7
hkl 2 -1 1, 2θ 24.3, intensity 38.9
hkl -2 1 1, 2θ 24.6, intensity 39.1
hkl 0 2 0, 2θ 28.5, intensity 45.6
hkl 1 -2 3, 2θ 32.2, intensity 40.5

Structure:
Cell: 8.2944 8.3628 8.9076 Å, 117.74 90.18 118.00°
Space group P1 (No. 1)
Unique sites:
Li  0.0000  0.0000  0.0000
Li  0.0637  0.8975  0.2996
Li  0.6512  0.4302  0.0207
Li  0.8117  0.2370  0.2973
Mn  0.0848  0.5326  0.2090
Mn  0.3849  0.1281  0.1069
V  0.5801  0.5390  0.7197
V  0.8797  0.1199  0.5945
P  0.1914  0.3280  0.4025
P  0.2653  0.3340  0.9097
P  0.4893  0.0576  0.4147
P  0.6887  0.0304  0.9051
P  0.7675  0.6189  0.4029
P  0.9817  0.6150  0.9067
O  0.1119  0.2091  0.7304
O  0.1823  0.7967  0.9534
O  0.1967  0.1346  0.2450
O  0.2131  0.4878  0.3536
O  0.2383  0.1677  0.9561
O  0.2400  0.5098  0.0516
O  0.2830  0.8860  0.3686
O  0.3404  0.4345  0.5710
O  0.4666  0.4418  0.8877
O  0.5348  0.1119  0.2682
O  0.5426  0.2679  0.5906
O  0.5563  0.1190  0.9545
O  0.5886  0.4720  0.2454
O  0.5889  0.7969  0.8613
O  0.6374  0.0039  0.4451
O  0.7266  0.6289  0.5744
O  0.7405  0.0324  0.7418
O  0.8369  0.6792  0.8864
O  0.8695  0.1633  0.0614
O  0.8707  0.8478  0.4328
O  0.9094  0.5395  0.3597
O  0.9270  0.4049  0.7378
O  0.9430  0.5811  0.0691
O  0.9890  0.2097  0.4220


Simulated powder XRD pattern
Compound: Li2CrF4
Radiation: CuKα
Structure: the GGA+U geometry in the Materials Project

Largest 8 diffraction maxima, in order of rising 2θ, 2θ from 15° to 90°:
hkl 1 0 -2, 2θ 21.9, intensity 28.1
hkl 2 0 -1, 2θ 22.1, intensity 32.2
hkl 2 0 1, 2θ 22.8, intensity 37.8
hkl 0 1 1, 2θ 24.0, intensity 100.0
hkl 0 0 4, 2θ 40.4, intensity 56.5
hkl 4 0 0, 2θ 40.8, intensity 57.6
hkl 0 2 0, 2θ 44.4, intensity 53.1
hkl 0 2 4, 2θ 61.6, intensity 27.4

Structure:
Cell: 8.8525 4.0807 8.9424 Å, 90.00 92.30 90.00°
Space group Pm (No. 6)
Unique sites:
Li  0.0000  0.0000  0.0000
Li  0.0041  0.5000  0.7790
Li  0.0420  0.5000  0.2426
Li  0.2666  0.0000  0.2585
Li  0.4592  0.0000  0.5037
Li  0.4897  0.5000  0.2976
Li  0.7443  0.5000  0.9915
Li  0.7676  0.0000  0.7432
Cr  0.0335  0.0000  0.5109
Cr  0.2689  0.5000  0.9962
Cr  0.5021  0.5000  0.7373
Cr  0.7565  0.0000  0.2555
F  0.0242  0.5000  0.4814
F  0.0313  0.0000  0.2352
F  0.2356  0.5000  0.7762
F  0.2424  0.0000  0.0186
F  0.2523  0.0000  0.4746
F  0.2731  0.5000  0.2248
F  0.4955  0.0000  0.2890
F  0.4963  0.5000  0.5119
F  0.5211  0.5000  0.9625
F  0.5370  0.0000  0.7167
F  0.7421  0.5000  0.2362
F  0.7712  0.0000  0.0282
F  0.7707  0.5000  0.7758
F  0.8007  0.0000  0.4812
F  0.9839  0.0000  0.7714
F  0.9981  0.5000  0.0139